Calculated powder XRD pattern
Compound: Pr5Tm2
Radiation: Cu Kα (weighted mean of Kα1 and Kα2)
Structure: a structure optimized by DFT (GGA-PBE)

Cell and atoms:
Cell: 16.194 6.389 9.447 Å, 90.00 94.93 90.00°
Space group C2/c (No. 15)
Asymmetric unit:
Pr1 0.000 0.170 0.250
Pr2 0.139 0.171 0.963
Pr3 0.216 0.336 0.322
Tm1 0.070 0.336 0.607

The 12 most intense peaks (2θ = 5–70°), in order of rising 2θ:
index  d_spacing  Position (°2θ)  Rel. int.
0 2 0  3.201  27.87  24
4 0 2  2.940  30.40  25
1 1 -3  2.811  31.83  100
1 1 4  2.165  41.71  16
6 0 -4  1.851  49.21  7
3 3 -2  1.846  49.36  13
3 1 5  1.672  54.93  21
10 0 -2  1.568  58.89  4
2 0 -6  1.565  59.04  11
1 3 4  1.563  59.11  8
4 2 -5  1.546  59.84  11
2 4 1  1.541  60.02  5